Entry 1:
This entry pairs a crystal structure of Pr4MgAg3 with its calculated powder X-ray diffraction pattern. Radiation: Cu Kα. Structure: a DFT-relaxed cell (GGA-PBE, Alexandria).
No peak broadening, texture or thermal motion is included.

Largest 6 diffraction maxima, by intensity, 2θ = 10–90°:
Position (°2θ), I_rel
33.2, 100
59.4, 36
47.7, 18
79.5, 12
69.8, 11
23.3, 6

Cell and atoms:
Cell: 3.8158 5.3880 10.7873 Å, 90.00 90.00 90.00°
Sites, in units of the cell vectors:
Pr 0.0000 0.0000 0.0000
Pr 0.0000 0.0000 0.5000
Pr 0.0000 0.5000 0.2420
Pr 0.0000 0.5000 0.7580
Mg 0.5000 0.5000 0.5000
Ag 0.5000 0.0000 0.2597
Ag 0.5000 0.0000 0.7403
Ag 0.5000 0.5000 0.0000

Entry 2:
This entry pairs a crystal structure of PrMg2Ag9 with its calculated powder X-ray diffraction pattern. Radiation: Cu Kα. Structure: a DFT-relaxed cell (GGA-PBE, Alexandria).
No peak broadening, texture or thermal motion is included.

Largest 6 diffraction maxima, by intensity, 2θ = 10–90°:
Position (°2θ), I_rel
34.8, 100
35.3, 66
41.5, 60
63.0, 28
37.3, 21
53.0, 18

Cell and atoms:
Cell: 8.8583 8.8583 8.8583 Å, 100.04 100.04 130.65°
Sites, in units of the cell vectors:
Pr 0.3750 0.6250 0.7500
Pr 0.6250 0.3750 0.2500
Mg 0.0000 0.0000 0.0000
Mg 0.0000 0.0000 0.5000
Mg 0.0000 0.5000 0.0000
Mg 0.5000 0.0000 0.5000
Ag 0.1250 0.8750 0.2500
Ag 0.1314 0.5564 0.3319
Ag 0.1314 0.7995 0.5750
Ag 0.2005 0.2755 0.3319
Ag 0.2005 0.8686 0.9250
Ag 0.2755 0.2005 0.8319
Ag 0.2755 0.4436 0.0750
Ag 0.4436 0.2755 0.5750
Ag 0.4436 0.8686 0.1681
Ag 0.5564 0.1314 0.8319
Ag 0.5564 0.7245 0.4250
Ag 0.7245 0.5564 0.9250
Ag 0.7245 0.7995 0.1681
Ag 0.7995 0.1314 0.0750
Ag 0.7995 0.7245 0.6681
Ag 0.8686 0.2005 0.4250
Ag 0.8686 0.4436 0.6681
Ag 0.8750 0.1250 0.7500

Entry 3:
This entry pairs a crystal structure of PrYMgAg with its calculated powder X-ray diffraction pattern. Radiation: Cu Kα. Structure: a DFT-relaxed cell (GGA-PBE, Alexandria).
No peak broadening, texture or thermal motion is included.

Largest 6 diffraction maxima, by intensity, 2θ = 10–90°:
Position (°2θ), I_rel
33.6, 100
33.4, 52
59.8, 37
11.8, 23
47.9, 19
60.4, 17

Cell and atoms:
Cell: 3.7977 3.7977 7.4736 Å, 90.00 90.00 90.00°
Sites, in units of the cell vectors:
Pr 0.0000 0.0000 0.0000
Y 0.0000 0.0000 0.4843
Mg 0.5000 0.5000 0.7314
Ag 0.5000 0.5000 0.2635

Entry 4:
This entry pairs a crystal structure of PrMg2ZnAg2 with its calculated powder X-ray diffraction pattern. Radiation: Cu Kα. Structure: a DFT-relaxed cell (GGA-PBE, Alexandria).
No peak broadening, texture or thermal motion is included.

Largest 6 diffraction maxima, by intensity, 2θ = 10–90°:
Position (°2θ), I_rel
24.2, 100
34.5, 64
47.5, 39
40.3, 37
31.7, 31
29.3, 30

Cell and atoms:
Cell: 6.7339 6.7339 6.7339 Å, 134.52 134.52 66.28°
Sites, in units of the cell vectors:
Pr 0.0000 0.0000 0.0000
Mg 0.2500 0.7500 0.5000
Mg 0.7500 0.2500 0.5000
Zn 0.5000 0.5000 0.0000
Ag 0.2799 0.2799 0.0000
Ag 0.7201 0.7201 0.0000